1.
Calculated powder diffractogram of Tl2CdCl4 for copper Kα, from a cell relaxed with PBE.

Crystal structure
abc: 8.3112 12.3460 4.1778
angles: 90.00 90.00 90.00
Sites, in units of the cell vectors:
Tl1 0.0793 0.1799 0.0000
Tl2 0.4207 0.6799 0.0000
Tl3 0.5793 0.3201 0.0000
Tl4 0.9207 0.8201 0.0000
Cd1 0.0000 0.5000 0.5000
Cd2 0.5000 0.0000 0.5000
Cl1 0.1339 0.6907 0.5000
Cl2 0.1936 0.4365 0.0000
Cl3 0.3064 0.9365 0.0000
Cl4 0.3661 0.1907 0.5000
Cl5 0.6339 0.8093 0.5000
Cl6 0.6936 0.0635 0.0000
Cl7 0.8064 0.5635 0.0000
Cl8 0.8661 0.3093 0.5000

Principal peaks in the range 10 to 90 degrees two-theta, in order of rising 2θ:
| 2theta | d_spacing | Rel. int. |
| --- | --- | --- |
| 22.58 | 3.938 | 41.8 |
| 24.13 | 3.688 | 100.0 |
| 24.92 | 3.573 | 70.9 |
| 25.75 | 3.459 | 34.6 |
| 31.21 | 2.866 | 90.3 |
| 32.38 | 2.765 | 41.5 |
| 33.71 | 2.659 | 43.2 |
| 43.96 | 2.060 | 78.7 |

***

2.
Calculated powder diffractogram of Tl2CdCl5 for copper Kα, from a cell relaxed with PBE.

Crystal structure
abc: 7.6148 7.6148 13.6951
angles: 90.00 90.00 136.46
Sites, in units of the cell vectors:
Tl1 0.1475 0.8525 0.5783
Tl2 0.1475 0.8525 0.9217
Tl3 0.8525 0.1475 0.0783
Tl4 0.8525 0.1475 0.4217
Cd1 0.1864 0.8136 0.2500
Cd2 0.8136 0.1864 0.7500
Cl1 0.0584 0.9416 0.1152
Cl2 0.0584 0.9416 0.3848
Cl3 0.2915 0.7085 0.7500
Cl4 0.3157 0.6843 0.1052
Cl5 0.3157 0.6843 0.3948
Cl6 0.6843 0.3157 0.6052
Cl7 0.6843 0.3157 0.8948
Cl8 0.7085 0.2915 0.2500
Cl9 0.9416 0.0584 0.6152
Cl10 0.9416 0.0584 0.8848

Principal peaks in the range 10 to 90 degrees two-theta, in order of rising 2θ:
| 2theta | d_spacing | Rel. int. |
| --- | --- | --- |
| 16.90 | 5.246 | 86.1 |
| 23.19 | 3.835 | 100.0 |
| 24.60 | 3.619 | 43.1 |
| 25.87 | 3.444 | 57.5 |
| 31.68 | 2.824 | 45.8 |
| 32.02 | 2.795 | 43.4 |
| 39.63 | 2.274 | 49.7 |
| 40.79 | 2.212 | 43.7 |

***

3.
Calculated powder diffractogram of UTl2CdCl8 for copper Kα, from a cell relaxed with PBE.

Crystal structure
abc: 6.7574 8.6701 7.0556
angles: 90.00 93.44 90.00
Sites, in units of the cell vectors:
U1 0.0000 0.0000 0.0000
Tl1 0.5000 0.2606 0.5000
Tl2 0.5000 0.7394 0.5000
Cd1 0.0000 0.5000 0.0000
Cl1 0.2026 0.5000 0.2949
Cl2 0.2165 0.0000 0.3216
Cl3 0.2203 0.2248 0.8713
Cl4 0.2203 0.7752 0.8713
Cl5 0.7797 0.2248 0.1287
Cl6 0.7797 0.7752 0.1287
Cl7 0.7835 0.0000 0.6784
Cl8 0.7974 0.5000 0.7051

Principal peaks in the range 10 to 90 degrees two-theta, in order of rising 2θ:
| 2theta | d_spacing | Rel. int. |
| --- | --- | --- |
| 17.65 | 5.025 | 100.0 |
| 18.75 | 4.731 | 74.2 |
| 24.11 | 3.692 | 54.1 |
| 24.41 | 3.647 | 86.9 |
| 34.84 | 2.575 | 35.7 |
| 35.48 | 2.530 | 56.1 |
| 36.65 | 2.452 | 32.4 |
| 43.86 | 2.064 | 30.1 |

***

4.
Calculated powder diffractogram of TlZnCdCl5 for copper Kα, from a cell relaxed with PBE.

Crystal structure
abc: 7.4566 7.4566 9.4446
angles: 103.72 103.72 106.22
Sites, in units of the cell vectors:
Tl1 0.1534 0.8466 0.7500
Tl2 0.8466 0.1534 0.2500
Zn1 0.1868 0.8132 0.2500
Zn2 0.8132 0.1868 0.7500
Cd1 0.5000 0.5000 0.0000
Cd2 0.5000 0.5000 0.5000
Cl1 0.1120 0.2570 0.9338
Cl2 0.1798 0.5934 0.3847
Cl3 0.2570 0.1120 0.4338
Cl4 0.4066 0.8202 0.1153
Cl5 0.4194 0.5806 0.7500
Cl6 0.5806 0.4194 0.2500
Cl7 0.5934 0.1798 0.8847
Cl8 0.7430 0.8880 0.5662
Cl9 0.8202 0.4066 0.6153
Cl10 0.8880 0.7430 0.0662

Principal peaks in the range 10 to 90 degrees two-theta, in order of rising 2θ:
| 2theta | d_spacing | Rel. int. |
| --- | --- | --- |
| 20.41 | 4.350 | 100.0 |
| 21.61 | 4.112 | 80.6 |
| 24.88 | 3.579 | 86.6 |
| 25.39 | 3.508 | 42.3 |
| 31.87 | 2.808 | 29.3 |
| 38.23 | 2.354 | 28.1 |
| 39.95 | 2.257 | 39.1 |
| 44.99 | 2.015 | 27.9 |

***

5.
Calculated powder diffractogram of Cd3WCl for copper Kα, from a cell relaxed with PBE.

Crystal structure
abc: 5.5378 5.5378 5.5378
angles: 90.00 90.00 90.00
Sites, in units of the cell vectors:
Cd1 0.0000 0.0000 0.5000
Cd2 0.0000 0.5000 0.0000
Cd3 0.5000 0.0000 0.0000
W1 0.0000 0.0000 0.0000
Cl1 0.5000 0.5000 0.5000

Principal peaks in the range 10 to 90 degrees two-theta, in order of rising 2θ:
| 2theta | d_spacing | Rel. int. |
| --- | --- | --- |
| 16.00 | 5.538 | 100.0 |
| 27.91 | 3.197 | 22.5 |
| 32.33 | 2.769 | 88.0 |
| 36.27 | 2.477 | 55.4 |
| 46.38 | 1.958 | 63.0 |
| 49.37 | 1.846 | 29.2 |
| 57.66 | 1.599 | 21.5 |
| 77.01 | 1.238 | 27.2 |

***

6.
Calculated powder diffractogram of YCd2Cl for copper Kα, from a cell relaxed with PBE.

Crystal structure
abc: 5.6249 5.6249 5.6249
angles: 131.57 131.57 70.91
Sites, in units of the cell vectors:
Y1 0.0000 0.0000 0.0000
Cd1 0.2500 0.7500 0.5000
Cd2 0.5000 0.5000 0.0000
Cl1 0.7500 0.2500 0.5000

Principal peaks in the range 10 to 90 degrees two-theta, in order of rising 2θ:
| 2theta | d_spacing | Rel. int. |
| --- | --- | --- |
| 21.56 | 4.121 | 15.7 |
| 33.72 | 2.658 | 100.0 |
| 39.04 | 2.307 | 33.0 |
| 39.33 | 2.291 | 16.1 |
| 56.40 | 1.631 | 10.7 |
| 56.62 | 1.626 | 21.1 |
| 67.35 | 1.390 | 24.5 |
| 67.74 | 1.383 | 12.0 |

***

7.
Calculated powder diffractogram of CdCo3 for copper Kα, from a cell relaxed with PBE.

Crystal structure
abc: 4.1443 5.2394 4.9595
angles: 90.00 90.00 90.00
Sites, in units of the cell vectors:
Cd1 0.2500 0.2500 0.1203
Cd2 0.7500 0.7500 0.8797
Co1 0.2500 0.0059 0.6280
Co2 0.2500 0.4941 0.6280
Co3 0.2500 0.7500 0.2343
Co4 0.7500 0.2500 0.7657
Co5 0.7500 0.5059 0.3720
Co6 0.7500 0.9941 0.3720

Principal peaks in the range 10 to 90 degrees two-theta, in order of rising 2θ:
| 2theta | d_spacing | Rel. int. |
| --- | --- | --- |
| 32.95 | 2.719 | 25.3 |
| 38.88 | 2.316 | 44.6 |
| 42.48 | 2.128 | 70.2 |
| 43.68 | 2.072 | 46.5 |
| 44.82 | 2.022 | 100.0 |
| 59.89 | 1.544 | 23.3 |
| 81.05 | 1.186 | 15.7 |
| 83.41 | 1.159 | 18.7 |

***

8.
Calculated powder diffractogram of Cd2Co3 for copper Kα, from a cell relaxed with PBE.

Crystal structure
abc: 11.1553 11.1553 11.1553
angles: 14.34 14.34 14.34
Sites, in units of the cell vectors:
Cd1 0.0975 0.0975 0.0975
Cd2 0.9025 0.9025 0.9025
Co1 0.3066 0.3066 0.3066
Co2 0.5000 0.5000 0.5000
Co3 0.6934 0.6934 0.6934

Principal peaks in the range 10 to 90 degrees two-theta, in order of rising 2θ:
| 2theta | d_spacing | Rel. int. |
| --- | --- | --- |
| 39.79 | 2.266 | 100.0 |
| 40.87 | 2.208 | 27.0 |
| 46.60 | 1.949 | 59.3 |
| 67.26 | 1.392 | 19.6 |
| 68.78 | 1.365 | 14.1 |
| 81.08 | 1.186 | 11.2 |
| 81.79 | 1.178 | 19.3 |
| 85.77 | 1.133 | 9.3 |

***

9.
Calculated powder diffractogram of CdCo5 for copper Kα, from a cell relaxed with PBE.

Crystal structure
abc: 4.7661 4.7661 4.7661
angles: 60.00 60.00 60.00
Sites, in units of the cell vectors:
Cd1 0.0000 0.0000 0.0000
Co1 0.1259 0.6247 0.6247
Co2 0.2500 0.2500 0.2500
Co3 0.6247 0.1259 0.6247
Co4 0.6247 0.6247 0.1259
Co5 0.6247 0.6247 0.6247

Principal peaks in the range 10 to 90 degrees two-theta, in order of rising 2θ:
| 2theta | d_spacing | Rel. int. |
| --- | --- | --- |
| 22.85 | 3.892 | 4.1 |
| 26.45 | 3.370 | 4.7 |
| 37.75 | 2.383 | 40.4 |
| 44.59 | 2.032 | 100.0 |
| 46.68 | 1.946 | 29.2 |
| 68.16 | 1.376 | 12.9 |
| 72.93 | 1.297 | 27.9 |
| 80.63 | 1.192 | 22.1 |

***

10.
Calculated powder diffractogram of Dy6Cd3Co for copper Kα, from a cell relaxed with PBE.

Crystal structure
abc: 9.0672 5.2822 11.3401
angles: 90.00 108.86 90.00
Sites, in units of the cell vectors:
Dy1 0.0332 0.2500 0.4163
Dy2 0.1964 0.7500 0.1625
Dy3 0.2839 0.2500 0.0029
Dy4 0.3488 0.7500 0.8375
Dy5 0.3791 0.2500 0.3521
Dy6 0.3896 0.2500 0.6570
Dy7 0.6104 0.7500 0.3430
Dy8 0.6209 0.7500 0.6479
Dy9 0.6512 0.2500 0.1625
Dy10 0.7161 0.7500 0.9971
Dy11 0.8036 0.2500 0.8375
Dy12 0.9668 0.7500 0.5837
Cd1 0.0044 0.7500 0.8700
Cd2 0.0780 0.2500 0.7211
Cd3 0.2686 0.7500 0.4746
Cd4 0.7314 0.2500 0.5254
Cd5 0.9220 0.7500 0.2789
Cd6 0.9956 0.2500 0.1300
Co1 0.4624 0.7500 0.0925
Co2 0.5376 0.2500 0.9075

Principal peaks in the range 10 to 90 degrees two-theta, in order of rising 2θ:
| 2theta | d_spacing | Rel. int. |
| --- | --- | --- |
| 29.14 | 3.064 | 22.1 |
| 31.79 | 2.815 | 43.2 |
| 33.17 | 2.701 | 22.7 |
| 33.94 | 2.641 | 77.5 |
| 34.23 | 2.620 | 70.0 |
| 34.58 | 2.594 | 100.0 |
| 34.83 | 2.576 | 19.6 |
| 37.40 | 2.405 | 24.1 |

***

11.
Calculated powder diffractogram of Dy12CdCo6 for copper Kα, from a cell relaxed with PBE.

Crystal structure
abc: 8.3561 8.3561 8.3561
angles: 109.47 109.47 109.47
Sites, in units of the cell vectors:
Dy1 0.1092 0.3034 0.8058
Dy2 0.1942 0.4975 0.3034
Dy3 0.1942 0.8908 0.6966
Dy4 0.3034 0.1942 0.4975
Dy5 0.3034 0.8058 0.1092
Dy6 0.4975 0.3034 0.1942
Dy7 0.5025 0.6966 0.8058
Dy8 0.6966 0.1942 0.8908
Dy9 0.6966 0.8058 0.5025
Dy10 0.8058 0.1092 0.3034
Dy11 0.8058 0.5025 0.6966
Dy12 0.8908 0.6966 0.1942
Cd1 0.0000 0.0000 0.0000
Co1 0.1132 0.5000 0.6132
Co2 0.3868 0.8868 0.5000
Co3 0.5000 0.3868 0.8868
Co4 0.5000 0.6132 0.1132
Co5 0.6132 0.1132 0.5000
Co6 0.8868 0.5000 0.3868

Principal peaks in the range 10 to 90 degrees two-theta, in order of rising 2θ:
| 2theta | d_spacing | Rel. int. |
| --- | --- | --- |
| 29.27 | 3.051 | 47.1 |
| 32.14 | 2.785 | 55.2 |
| 34.79 | 2.579 | 100.0 |
| 37.28 | 2.412 | 20.6 |
| 48.08 | 1.892 | 23.3 |
| 55.53 | 1.655 | 38.2 |
| 59.01 | 1.565 | 39.0 |
| 68.80 | 1.365 | 20.2 |

***

12.
Calculated powder diffractogram of Er4Cd2Co for copper Kα, from a cell relaxed with PBE.

Crystal structure
abc: 6.3415 3.5658 8.8355
angles: 90.00 109.35 90.00
Sites, in units of the cell vectors:
Er1 0.1212 0.0000 0.2523
Er2 0.3113 0.5000 0.6330
Er3 0.6887 0.5000 0.3670
Er4 0.8788 0.0000 0.7477
Cd1 0.2749 0.5000 0.0033
Cd2 0.7251 0.5000 0.9967
Co1 0.0000 0.0000 0.5000

Principal peaks in the range 10 to 90 degrees two-theta, in order of rising 2θ:
| 2theta | d_spacing | Rel. int. |
| --- | --- | --- |
| 29.15 | 3.063 | 91.5 |
| 29.90 | 2.989 | 80.4 |
| 30.66 | 2.916 | 64.0 |
| 32.82 | 2.729 | 100.0 |
| 33.06 | 2.710 | 66.6 |
| 33.23 | 2.696 | 68.4 |
| 36.10 | 2.488 | 54.6 |
| 39.32 | 2.292 | 60.1 |